# 1
Starting from a cell relaxed with PBE, the powder X-ray diffraction pattern of Zr2IrPd5 was computed for Cu Kα, 1.54184 Å.
Lines closer than 0.1° are merged.

The 10 most intense peaks (15 to 90 degrees two-theta), in order of falling intensity:
2θ (°)	d/Å	intensity	index
38.72	2.326	1000	0 4 1
44.90	2.019	325	2 4 0
78.64	1.217	239	2 8 1
65.64	1.422	205	2 4 2
45.24	2.004	161	0 0 2
79.13	1.210	121	0 4 3
83.06	1.163	105	0 8 2
65.37	1.428	103	0 8 0
17.36	5.108	31	1 1 0
15.52	5.709	20	0 2 0

Crystal structure
Lattice parameters (Å, degrees): 5.7109 11.4188 4.0089 90.00 90.00 90.00
Space group Pbam (No. 55)
Unique sites:
Zr: 0.2363 0.1205 0.0000
Ir: 0.0000 0.0000 0.5000
Pd: 0.0000 0.5000 0.5000
Pd: 0.0094 0.7502 0.5000
Pd: 0.2440 0.3738 0.0000

***

# 2
Starting from a cell relaxed with PBE, the powder X-ray diffraction pattern of TaFePt2Rh2 was computed for Cu Kα, 1.54184 Å.
Lines closer than 0.1° are merged.

The 10 most intense peaks (15 to 90 degrees two-theta), in order of falling intensity:
2θ (°)	d/Å	intensity	index
41.87	2.158	1000	1 2 1
41.08	2.197	929	0 0 3
39.50	2.281	852	2 0 -2
44.10	2.053	800	1 2 -2
42.04	2.149	739	2 0 1
37.77	2.382	667	1 2 0
35.77	2.510	361	0 2 1
64.36	1.448	277	3 2 -1
69.19	1.358	272	0 4 0
53.15	1.723	258	1 2 -3

Crystal structure
Lattice parameters (Å, degrees): 5.1332 5.4301 6.8159 90.00 104.75 90.00
Space group P2_1/m (No. 11)
Unique sites:
Ta: 0.1138 0.2500 0.3199
Fe: 0.1105 0.7500 0.3410
Pt: 0.3694 0.5014 0.6656
Rh: 0.2548 0.2500 0.9911
Rh: 0.2575 0.7500 0.0247